The following is a theoretical X-ray diffraction stick pattern of Ba2ZnCd. It was derived from the PBE geometry in the Materials Project, using λ = 1.5418 Å (Cu Kα).

Structure:
abc: 5.968 5.968 5.968
angles: 60.00 60.00 60.00
Fractional coordinates of all 4 atoms:
Ba 0.250 0.250 0.250
Ba 0.750 0.750 0.750
Zn 0.000 0.000 0.000
Cd 0.500 0.500 0.500

Principal peaks in the range 2θ from 15° to 90°, in order of rising 2θ:
2θ 29.94, rel. 1000; 2θ 42.86, rel. 185; 2θ 53.16, rel. 387; 2θ 62.22, rel. 120; 2θ 70.57, rel. 164; 2θ 86.23, rel. 196

The following is a theoretical X-ray diffraction stick pattern of Ba2GaAsSe5. It was derived from the PBE geometry in the Materials Project, using λ = 1.5418 Å (Cu Kα).

Structure:
abc: 12.800 9.145 9.389
angles: 90.00 90.00 90.00
Fractional coordinates of all 36 atoms:
Ba 0.174 0.006 0.132
Ba 0.174 0.494 0.132
Ba 0.326 0.506 0.632
Ba 0.326 0.994 0.632
Ba 0.674 0.006 0.368
Ba 0.674 0.494 0.368
Ba 0.826 0.506 0.868
Ba 0.826 0.994 0.868
Ga 0.097 0.750 0.836
Ga 0.403 0.250 0.336
Ga 0.597 0.750 0.664
Ga 0.903 0.250 0.164
As 0.036 0.750 0.495
As 0.464 0.250 0.995
As 0.536 0.750 0.005
As 0.964 0.250 0.505
Se 0.012 0.250 0.958
Se 0.057 0.547 0.670
Se 0.057 0.953 0.670
Se 0.213 0.750 0.398
Se 0.222 0.250 0.401
Se 0.278 0.750 0.901
Se 0.287 0.250 0.898
Se 0.443 0.047 0.170
Se 0.443 0.453 0.170
Se 0.488 0.750 0.458
Se 0.512 0.250 0.542
Se 0.557 0.547 0.830
Se 0.557 0.953 0.830
Se 0.713 0.750 0.102
Se 0.722 0.250 0.099
Se 0.778 0.750 0.599
Se 0.787 0.250 0.602
Se 0.943 0.047 0.330
Se 0.943 0.453 0.330
Se 0.988 0.750 0.042

Principal peaks in the range 2θ from 15° to 90°, in order of rising 2θ:
2θ 27.23, rel. 166; 2θ 28.12, rel. 1000; 2θ 29.50, rel. 429; 2θ 30.19, rel. 323; 2θ 39.40, rel. 295; 2θ 40.84, rel. 145

The following is a theoretical X-ray diffraction stick pattern of PuMgO3. It was derived from the PBE geometry in the Materials Project, using λ = 1.5418 Å (Cu Kα).

Structure:
abc: 3.828 3.828 3.828
angles: 90.00 90.00 90.00
Fractional coordinates of all 5 atoms:
Pu 0.000 0.000 0.000
Mg 0.500 0.500 0.500
O 0.000 0.500 0.500
O 0.500 0.000 0.500
O 0.500 0.500 0.000

Principal peaks in the range 2θ from 15° to 90°, in order of rising 2θ:
2θ 23.24, rel. 726; 2θ 33.10, rel. 1000; 2θ 40.83, rel. 423; 2θ 47.51, rel. 292; 2θ 53.53, rel. 344; 2θ 59.12, rel. 405

The following is a theoretical X-ray diffraction stick pattern of SnH12C6S4N2. It was derived from the PBE geometry in the Materials Project, using λ = 1.5418 Å (Cu Kα).

Structure:
abc: 7.698 7.698 12.444
angles: 101.33 101.33 107.52
Fractional coordinates of all 50 atoms:
Sn 0.023 0.977 0.750
Sn 0.977 0.023 0.250
H 0.168 0.722 0.535
H 0.210 0.505 0.535
H 0.266 0.713 0.139
H 0.274 0.480 0.131
H 0.278 0.832 0.965
H 0.287 0.734 0.361
H 0.296 0.680 0.842
H 0.320 0.704 0.658
H 0.330 0.518 0.361
H 0.480 0.274 0.631
H 0.482 0.670 0.139
H 0.495 0.790 0.965
H 0.505 0.210 0.035
H 0.518 0.330 0.861
H 0.520 0.726 0.369
H 0.670 0.482 0.639
H 0.680 0.296 0.342
H 0.704 0.320 0.158
H 0.713 0.266 0.639
H 0.722 0.168 0.035
H 0.726 0.520 0.869
H 0.734 0.287 0.861
H 0.790 0.495 0.465
H 0.832 0.278 0.465
C 0.175 0.387 0.914
C 0.274 0.660 0.565
C 0.327 0.609 0.105
C 0.340 0.726 0.935
C 0.387 0.175 0.414
C 0.391 0.673 0.395
C 0.609 0.327 0.605
C 0.613 0.825 0.586
C 0.660 0.274 0.065
C 0.673 0.391 0.895
C 0.726 0.340 0.435
C 0.825 0.613 0.086
S 0.100 0.200 0.971
S 0.118 0.340 0.766
S 0.200 0.100 0.471
S 0.340 0.118 0.266
S 0.660 0.882 0.734
S 0.800 0.900 0.529
S 0.882 0.660 0.234
S 0.900 0.800 0.029
N 0.275 0.564 0.981
N 0.436 0.725 0.519
N 0.564 0.275 0.481
N 0.725 0.436 0.019

Principal peaks in the range 2θ from 15° to 90°, in order of rising 2θ:
2θ 16.80, rel. 1000; 2θ 20.83, rel. 211; 2θ 23.87, rel. 701; 2θ 25.65, rel. 316; 2θ 30.46, rel. 220; 2θ 30.70, rel. 252

The following is a theoretical X-ray diffraction stick pattern of Dy2Ga3Fe14. It was derived from the PBE geometry in the Materials Project, using λ = 1.5418 Å (Cu Kα).

Structure:
abc: 8.563 8.563 8.272
angles: 90.00 90.00 120.08
Fractional coordinates of all 38 atoms:
Dy 0.000 0.000 0.250
Dy 0.000 0.000 0.750
Dy 0.333 0.667 0.750
Dy 0.667 0.333 0.250
Ga 0.000 0.500 0.000
Ga 0.000 0.500 0.500
Ga 0.500 0.000 0.000
Ga 0.500 0.000 0.500
Ga 0.500 0.500 0.000
Ga 0.500 0.500 0.500
Fe 0.029 0.353 0.250
Fe 0.029 0.677 0.250
Fe 0.165 0.835 0.509
Fe 0.165 0.835 0.991
Fe 0.166 0.331 0.509
Fe 0.166 0.331 0.991
Fe 0.323 0.353 0.250
Fe 0.323 0.971 0.250
Fe 0.331 0.166 0.009
Fe 0.331 0.166 0.491
Fe 0.333 0.667 0.112
Fe 0.333 0.667 0.388
Fe 0.353 0.029 0.750
Fe 0.353 0.323 0.750
Fe 0.647 0.677 0.250
Fe 0.647 0.971 0.250
Fe 0.667 0.333 0.612
Fe 0.667 0.333 0.888
Fe 0.669 0.834 0.509
Fe 0.669 0.834 0.991
Fe 0.677 0.029 0.750
Fe 0.677 0.647 0.750
Fe 0.834 0.669 0.009
Fe 0.834 0.669 0.491
Fe 0.835 0.165 0.009
Fe 0.835 0.165 0.491
Fe 0.971 0.323 0.750
Fe 0.971 0.647 0.750

Principal peaks in the range 2θ from 15° to 90°, in order of rising 2θ:
2θ 30.05, rel. 396; 2θ 36.36, rel. 388; 2θ 40.79, rel. 195; 2θ 42.23, rel. 559; 2θ 42.62, rel. 1000; 2θ 43.77, rel. 293

The following is a theoretical X-ray diffraction stick pattern of WNCl3. It was derived from the PBE geometry in the Materials Project, using λ = 1.5418 Å (Cu Kα).

Structure:
abc: 8.200 8.426 9.304
angles: 96.91 108.62 110.11
Fractional coordinates of all 20 atoms:
W 0.007 0.057 0.229
W 0.116 0.340 0.615
W 0.884 0.660 0.385
W 0.993 0.943 0.771
N 0.047 0.217 0.389
N 0.049 0.155 0.685
N 0.951 0.845 0.315
N 0.953 0.783 0.611
Cl 0.048 0.217 0.042
Cl 0.183 0.642 0.477
Cl 0.218 0.560 0.837
Cl 0.308 0.073 0.300
Cl 0.316 0.050 0.895
Cl 0.421 0.382 0.656
Cl 0.579 0.618 0.344
Cl 0.684 0.950 0.105
Cl 0.692 0.927 0.700
Cl 0.782 0.440 0.163
Cl 0.817 0.358 0.523
Cl 0.952 0.783 0.958

Principal peaks in the range 2θ from 15° to 90°, in order of rising 2θ:
2θ 18.82, rel. 405; 2θ 22.92, rel. 1000; 2θ 23.09, rel. 899; 2θ 26.46, rel. 564; 2θ 27.02, rel. 620; 2θ 34.83, rel. 528

The following is a theoretical X-ray diffraction stick pattern of CaAc3. It was derived from the PBE geometry in the Materials Project, using λ = 1.5418 Å (Cu Kα).

Structure:
abc: 7.999 7.999 6.422
angles: 90.00 90.00 120.00
Fractional coordinates of all 8 atoms:
Ca 0.333 0.667 0.250
Ca 0.667 0.333 0.750
Ac 0.167 0.334 0.750
Ac 0.167 0.833 0.750
Ac 0.334 0.167 0.250
Ac 0.666 0.833 0.750
Ac 0.833 0.167 0.250
Ac 0.833 0.666 0.250

Principal peaks in the range 2θ from 15° to 90°, in order of rising 2θ:
2θ 25.72, rel. 231; 2θ 27.78, rel. 254; 2θ 29.30, rel. 1000; 2θ 45.35, rel. 206; 2θ 50.09, rel. 232; 2θ 54.02, rel. 248

The following is a theoretical X-ray diffraction stick pattern of KLiSO4. It was derived from the PBE geometry in the Materials Project, using λ = 1.5418 Å (Cu Kα).

Structure:
abc: 5.214 5.214 8.813
angles: 90.00 90.00 120.00
Fractional coordinates of all 14 atoms:
K 0.000 0.000 0.000
K 0.000 0.000 0.500
Li 0.333 0.667 0.313
Li 0.667 0.333 0.813
S 0.333 0.667 0.703
S 0.667 0.333 0.203
O 0.060 0.399 0.758
O 0.333 0.667 0.534
O 0.339 0.940 0.758
O 0.399 0.060 0.258
O 0.601 0.661 0.758
O 0.661 0.601 0.258
O 0.667 0.333 0.034
O 0.940 0.339 0.258

Principal peaks in the range 2θ from 15° to 90°, in order of rising 2θ:
2θ 22.12, rel. 1000; 2θ 28.30, rel. 808; 2θ 34.40, rel. 508; 2θ 40.19, rel. 345; 2θ 40.96, rel. 175; 2θ 61.62, rel. 155

The following is a theoretical X-ray diffraction stick pattern of AgI3O8. It was derived from the PBE geometry in the Materials Project, using λ = 1.5418 Å (Cu Kα).

Structure:
abc: 8.267 8.243 12.048
angles: 90.00 90.00 90.00
Fractional coordinates of all 48 atoms:
Ag 0.000 0.000 0.000
Ag 0.000 0.500 0.500
Ag 0.500 0.000 0.030
Ag 0.500 0.500 0.530
I 0.000 0.000 0.581
I 0.000 0.500 0.081
I 0.229 0.245 0.825
I 0.229 0.255 0.325
I 0.248 0.721 0.706
I 0.248 0.779 0.206
I 0.500 0.000 0.454
I 0.500 0.500 0.954
I 0.752 0.221 0.206
I 0.752 0.279 0.706
I 0.771 0.745 0.325
I 0.771 0.755 0.825
O 0.013 0.238 0.347
O 0.013 0.262 0.847
O 0.085 0.738 0.090
O 0.085 0.762 0.590
O 0.167 0.048 0.676
O 0.167 0.452 0.176
O 0.230 0.505 0.682
O 0.230 0.995 0.182
O 0.267 0.092 0.442
O 0.267 0.408 0.942
O 0.268 0.068 0.911
O 0.268 0.432 0.411
O 0.426 0.740 0.120
O 0.426 0.760 0.620
O 0.445 0.667 0.860
O 0.445 0.833 0.360
O 0.555 0.167 0.360
O 0.555 0.333 0.860
O 0.574 0.240 0.620
O 0.574 0.260 0.120
O 0.732 0.568 0.411
O 0.732 0.932 0.911
O 0.733 0.592 0.942
O 0.733 0.908 0.442
O 0.770 0.005 0.182
O 0.770 0.495 0.682
O 0.833 0.548 0.176
O 0.833 0.952 0.676
O 0.915 0.238 0.590
O 0.915 0.262 0.090
O 0.987 0.738 0.847
O 0.987 0.762 0.347

Principal peaks in the range 2θ from 15° to 90°, in order of rising 2θ:
2θ 21.19, rel. 453; 2θ 26.17, rel. 1000; 2θ 26.95, rel. 156; 2θ 30.63, rel. 376; 2θ 33.48, rel. 190; 2θ 51.80, rel. 309

The following is a theoretical X-ray diffraction stick pattern of HfTeSe. It was derived from the PBE geometry in the Materials Project, using λ = 1.5418 Å (Cu Kα).

Structure:
abc: 3.901 3.901 6.736
angles: 90.00 90.00 120.00
Fractional coordinates of all 3 atoms:
Hf 0.000 0.000 0.000
Te 0.667 0.333 0.274
Se 0.333 0.667 0.781

Principal peaks in the range 2θ from 15° to 90°, in order of rising 2θ:
2θ 29.58, rel. 1000; 2θ 37.72, rel. 635; 2θ 46.57, rel. 327; 2θ 48.66, rel. 372; 2θ 56.14, rel. 164; 2θ 61.41, rel. 153